This entry pairs a crystal structure of PaBe5Au7 with its theoretical PXRD pattern. Radiation: λ = 1.5418 Å (Cu Kα). Structure: a structure optimized by DFT (PBE).
No peak broadening, texture or thermal motion is included.

The 10 most intense peaks (15 to 90 degrees two-theta), in order of rising 2θ:
(hkl)	2θ/deg	intensity
0 0 2	20.02	36
0 2 2	28.42	26
1 2 1	28.62	17
1 3 0	35.11	60
1 0 3	35.23	45
2 0 0	35.70	54
1 3 2	40.78	100
3 3 0	63.78	19
3 3 2	67.58	21
2 6 0	74.18	23

Structure:
```
data_PaBe5Au7
_cell_length_a 5.0306
_cell_length_b 8.9013
_cell_length_c 8.8618
_cell_angle_alpha 90.00
_cell_angle_beta 90.00
_cell_angle_gamma 90.00
_symmetry_space_group_name_H-M 'I m m 2'
_symmetry_Int_Tables_number 44
loop_
_symmetry_equiv_pos_as_xyz
'x,y,z'
'-x,-y,z'
'-x,y,z'
'x,-y,z'
'x+1/2,y+1/2,z+1/2'
'-x+1/2,-y+1/2,z+1/2'
'-x+1/2,y+1/2,z+1/2'
'x+1/2,-y+1/2,z+1/2'
loop_
_atom_site_label
_atom_site_type_symbol
_atom_site_fract_x
_atom_site_fract_y
_atom_site_fract_z
Pa1 Pa 0.0000 0.0000 0.0000
Be1 Be 0.0000 0.5000 0.2609
Be2 Be 0.2437 0.2451 0.7362
Au1 Au 0.0000 0.0000 0.3429
Au2 Au 0.0000 0.0000 0.6752
Au3 Au 0.0000 0.3063 0.4634
Au4 Au 0.0000 0.3395 0.0183
Au5 Au 0.0000 0.5000 0.7191
```

This entry pairs a crystal structure of AcLaScO4 with its theoretical PXRD pattern. Radiation: λ = 1.5418 Å (Cu Kα). Structure: a structure optimized by DFT (PBE).
No peak broadening, texture or thermal motion is included.

The 10 most intense peaks (15 to 90 degrees two-theta), in order of rising 2θ:
(hkl)	2θ/deg	intensity
1 0 1	22.84	43
1 0 3	30.14	100
1 1 0	30.97	62
0 0 6	41.93	44
2 0 0	44.36	31
1 1 6	53.02	28
2 1 3	54.55	53
2 0 6	62.66	14
3 0 3	72.83	21
2 2 6	79.99	16

Structure:
```
data_AcLaScO4
_cell_length_a 4.0838
_cell_length_b 4.0838
_cell_length_c 12.9357
_cell_angle_alpha 90.00
_cell_angle_beta 90.00
_cell_angle_gamma 90.00
_symmetry_space_group_name_H-M 'I 4 m m'
_symmetry_Int_Tables_number 107
_symmetry_space_group_name_Hall 'I 4 -2'
loop_
_atom_site_label
_atom_site_type_symbol
_atom_site_fract_x
_atom_site_fract_y
_atom_site_fract_z
Ac1 Ac 0.0000 0.0000 0.0000
La1 La 0.0000 0.0000 0.7028
Sc1 Sc 0.0000 0.0000 0.3492
O1 O 0.0000 0.0000 0.1867
O2 O 0.0000 0.0000 0.5253
O3 O 0.0000 0.5000 0.3567
```